Starting from a cell relaxed with PBE, the X-ray powder pattern of DyTm5Tl8 was simulated for Cu Kα.

Structural model:
abc: 7.9722 7.9722 7.9722
angles: 109.98 109.98 108.45
Sites, in units of the cell vectors:
1 Dy 0.0000 0.0000 0.0000
2 Tm 0.2315 0.6336 0.1472
3 Tm 0.3664 0.5136 0.5979
4 Tm 0.4864 0.0843 0.8528
5 Tm 0.7500 0.2500 0.5000
6 Tm 0.9157 0.7685 0.4021
7 Tl 0.1281 0.7027 0.7677
8 Tl 0.1481 0.2391 0.7656
9 Tl 0.2973 0.0650 0.4254
10 Tl 0.4735 0.3825 0.2344
11 Tl 0.6175 0.8519 0.0910
12 Tl 0.6396 0.8719 0.5746
13 Tl 0.7609 0.5265 0.9090
14 Tl 0.9350 0.3604 0.2323

Principal peaks in the range 5 to 70 degrees two-theta, most intense first:
- 2.895 Å, 2θ = 30.9°, I = 1000
- 2.942 Å, 2θ = 30.4°, I = 508
- 2.474 Å, 2θ = 36.3°, I = 487
- 2.458 Å, 2θ = 36.6°, I = 440
- 2.448 Å, 2θ = 36.7°, I = 429
- 1.873 Å, 2θ = 48.6°, I = 183
- 1.485 Å, 2θ = 62.6°, I = 132
- 1.891 Å, 2θ = 48.1°, I = 131
- 3.746 Å, 2θ = 23.8°, I = 119
- 1.490 Å, 2θ = 62.3°, I = 97

Starting from a cell relaxed with PBE, the X-ray powder pattern of Dy3Tm2Tl3 was simulated for Cu Kα.

Structural model:
abc: 3.7484 5.3504 22.4695
angles: 90.00 90.00 90.00
Sites, in units of the cell vectors:
1 Dy 0.0000 0.0000 0.0000
2 Dy 0.0000 0.5000 0.1267
3 Dy 0.0000 0.5000 0.8733
4 Dy 0.5000 0.0000 0.3733
5 Dy 0.5000 0.0000 0.6267
6 Dy 0.5000 0.5000 0.5000
7 Tm 0.0000 0.0000 0.2357
8 Tm 0.0000 0.0000 0.7643
9 Tm 0.5000 0.5000 0.2643
10 Tm 0.5000 0.5000 0.7357
11 Tl 0.0000 0.0000 0.5000
12 Tl 0.0000 0.5000 0.3790
13 Tl 0.0000 0.5000 0.6210
14 Tl 0.5000 0.0000 0.1210
15 Tl 0.5000 0.0000 0.8790
16 Tl 0.5000 0.5000 0.0000

Principal peaks in the range 5 to 70 degrees two-theta, most intense first:
- 2.694 Å, 2θ = 33.3°, I = 1000
- 2.675 Å, 2θ = 33.5°, I = 254
- 2.809 Å, 2θ = 31.9°, I = 253
- 1.548 Å, 2θ = 59.7°, I = 196
- 1.937 Å, 2θ = 46.9°, I = 175
- 1.599 Å, 2θ = 57.7°, I = 161
- 1.347 Å, 2θ = 69.8°, I = 108
- 1.535 Å, 2θ = 60.3°, I = 97
- 1.874 Å, 2θ = 48.6°, I = 92
- 1.559 Å, 2θ = 59.3°, I = 91

Starting from a cell relaxed with PBE, the X-ray powder pattern of Dy5Tm2Tl4 was simulated for Cu Kα.

Structural model:
abc: 15.0268 15.0268 15.0268
angles: 166.81 146.61 36.05
Sites, in units of the cell vectors:
1 Dy 0.0000 0.0000 0.0000
2 Dy 0.0033 0.7009 0.3024
3 Dy 0.3985 0.7009 0.6976
4 Dy 0.6015 0.2991 0.3024
5 Dy 0.9967 0.2991 0.6976
6 Tm 0.0968 0.5968 0.5000
7 Tm 0.9032 0.4032 0.5000
8 Tl 0.3032 0.8032 0.5000
9 Tl 0.3195 0.5000 0.8195
10 Tl 0.6805 0.5000 0.1805
11 Tl 0.6968 0.1968 0.5000

Principal peaks in the range 5 to 70 degrees two-theta, most intense first:
- 2.439 Å, 2θ = 36.9°, I = 1000
- 2.859 Å, 2θ = 31.3°, I = 598
- 4.765 Å, 2θ = 18.6°, I = 466
- 7.145 Å, 2θ = 12.4°, I = 454
- 2.755 Å, 2θ = 32.5°, I = 383
- 3.128 Å, 2θ = 28.5°, I = 344
- 1.556 Å, 2θ = 59.4°, I = 247
- 2.386 Å, 2θ = 37.7°, I = 220
- 2.352 Å, 2θ = 38.3°, I = 210
- 3.204 Å, 2θ = 27.8°, I = 193

Starting from a cell relaxed with PBE, the X-ray powder pattern of DyTm6Tl was simulated for Cu Kα.

Structural model:
abc: 5.3656 3.5380 24.9470
angles: 90.00 90.00 90.00
Sites, in units of the cell vectors:
1 Dy 0.0000 0.0000 0.0000
2 Dy 0.0000 0.5000 0.5000
3 Tm 0.0000 0.0000 0.1332
4 Tm 0.0000 0.0000 0.3794
5 Tm 0.0000 0.0000 0.7568
6 Tm 0.0000 0.5000 0.2568
7 Tm 0.0000 0.5000 0.6332
8 Tm 0.0000 0.5000 0.8794
9 Tm 0.5000 0.0000 0.2991
10 Tm 0.5000 0.0000 0.5537
11 Tm 0.5000 0.0000 0.9219
12 Tm 0.5000 0.5000 0.0537
13 Tm 0.5000 0.5000 0.4219
14 Tm 0.5000 0.5000 0.7991
15 Tl 0.5000 0.0000 0.6827
16 Tl 0.5000 0.5000 0.1827

Principal peaks in the range 5 to 70 degrees two-theta, most intense first:
- 2.696 Å, 2θ = 33.2°, I = 1000
- 2.783 Å, 2θ = 32.2°, I = 808
- 2.683 Å, 2θ = 33.4°, I = 595
- 2.542 Å, 2θ = 35.3°, I = 594
- 1.479 Å, 2θ = 62.8°, I = 324
- 2.886 Å, 2θ = 31.0°, I = 289
- 2.933 Å, 2θ = 30.5°, I = 231
- 1.477 Å, 2θ = 62.9°, I = 194
- 1.965 Å, 2θ = 46.2°, I = 194
- 1.551 Å, 2θ = 59.6°, I = 190

Starting from a cell relaxed with PBE, the X-ray powder pattern of Dy7Tm3Tl2 was simulated for Cu Kα.

Structural model:
abc: 5.5767 3.5864 18.3284
angles: 90.00 93.79 90.00
Sites, in units of the cell vectors:
1 Dy 0.0000 0.0000 0.0000
2 Dy 0.1644 0.5000 0.1724
3 Dy 0.2585 0.5000 0.5411
4 Dy 0.3384 0.0000 0.8531
5 Dy 0.6616 0.0000 0.1469
6 Dy 0.7415 0.5000 0.4589
7 Dy 0.8356 0.5000 0.8276
8 Tm 0.2222 0.0000 0.3686
9 Tm 0.5000 0.5000 0.0000
10 Tm 0.7778 0.0000 0.6314
11 Tl 0.3002 0.5000 0.7076
12 Tl 0.6998 0.5000 0.2924

Principal peaks in the range 5 to 70 degrees two-theta, most intense first:
- 2.833 Å, 2θ = 31.6°, I = 1000
- 2.779 Å, 2θ = 32.2°, I = 668
- 2.559 Å, 2θ = 35.1°, I = 409
- 2.751 Å, 2θ = 32.5°, I = 331
- 2.822 Å, 2θ = 31.7°, I = 302
- 2.742 Å, 2θ = 32.7°, I = 289
- 2.894 Å, 2θ = 30.9°, I = 286
- 2.601 Å, 2θ = 34.5°, I = 273
- 3.048 Å, 2θ = 29.3°, I = 244
- 1.507 Å, 2θ = 61.5°, I = 233

Starting from a cell relaxed with PBE, the X-ray powder pattern of DyTm6Tl6 was simulated for Cu Kα.

Structural model:
abc: 6.3723 6.3723 10.4307
angles: 90.00 90.00 120.00
Sites, in units of the cell vectors:
1 Dy 0.0000 0.0000 0.0000
2 Tm 0.0000 0.0000 0.3389
3 Tm 0.0000 0.0000 0.6611
4 Tm 0.3333 0.6667 0.0000
5 Tm 0.3333 0.6667 0.5000
6 Tm 0.6667 0.3333 0.0000
7 Tm 0.6667 0.3333 0.5000
8 Tl 0.0000 0.5000 0.2459
9 Tl 0.0000 0.5000 0.7541
10 Tl 0.5000 0.0000 0.2459
11 Tl 0.5000 0.0000 0.7541
12 Tl 0.5000 0.5000 0.2459
13 Tl 0.5000 0.5000 0.7541

Principal peaks in the range 5 to 70 degrees two-theta, most intense first:
- 2.439 Å, 2θ = 36.9°, I = 1000
- 2.719 Å, 2θ = 32.9°, I = 686
- 2.759 Å, 2θ = 32.4°, I = 560
- 1.593 Å, 2θ = 57.9°, I = 333
- 2.608 Å, 2θ = 34.4°, I = 287
- 3.186 Å, 2θ = 28.0°, I = 264
- 1.526 Å, 2θ = 60.7°, I = 249
- 2.358 Å, 2θ = 38.2°, I = 239
- 1.359 Å, 2θ = 69.1°, I = 233
- 2.942 Å, 2θ = 30.4°, I = 199

Starting from a cell relaxed with PBE, the X-ray powder pattern of Dy12Tm6Tl was simulated for Cu Kα.

Structural model:
abc: 8.4076 8.4076 8.4076
angles: 88.78 88.78 88.78
Sites, in units of the cell vectors:
1 Dy 0.0390 0.2817 0.9333
2 Dy 0.0667 0.9610 0.7183
3 Dy 0.1355 0.3195 0.4874
4 Dy 0.2817 0.9333 0.0390
5 Dy 0.3195 0.4874 0.1355
6 Dy 0.4874 0.1355 0.3195
7 Dy 0.5126 0.8645 0.6805
8 Dy 0.6805 0.5126 0.8645
9 Dy 0.7183 0.0667 0.9610
10 Dy 0.8645 0.6805 0.5126
11 Dy 0.9333 0.0390 0.2817
12 Dy 0.9610 0.7183 0.0667
13 Tm 0.2093 0.5979 0.7587
14 Tm 0.2413 0.7907 0.4021
15 Tm 0.4021 0.2413 0.7907
16 Tm 0.5979 0.7587 0.2093
17 Tm 0.7587 0.2093 0.5979
18 Tm 0.7907 0.4021 0.2413
19 Tl 0.5000 0.5000 0.5000

Principal peaks in the range 5 to 70 degrees two-theta, most intense first:
- 2.776 Å, 2θ = 32.3°, I = 1000
- 2.674 Å, 2θ = 33.5°, I = 698
- 2.855 Å, 2θ = 31.3°, I = 429
- 2.641 Å, 2θ = 33.9°, I = 330
- 2.801 Å, 2θ = 31.9°, I = 291
- 2.529 Å, 2θ = 35.5°, I = 210
- 1.632 Å, 2θ = 56.4°, I = 200
- 3.727 Å, 2θ = 23.9°, I = 130
- 1.979 Å, 2θ = 45.9°, I = 125
- 1.387 Å, 2θ = 67.5°, I = 118

Starting from a cell relaxed with PBE, the X-ray powder pattern of DyY2Tl was simulated for Cu Kα.

Structural model:
abc: 4.8767 4.8767 4.8395
angles: 90.00 90.00 90.00
Sites, in units of the cell vectors:
1 Dy 0.0000 0.0000 0.0000
2 Y 0.0000 0.5000 0.5000
3 Y 0.5000 0.0000 0.5000
4 Tl 0.5000 0.5000 0.0000

Principal peaks in the range 5 to 70 degrees two-theta, most intense first:
- 2.808 Å, 2θ = 31.9°, I = 1000
- 2.438 Å, 2θ = 36.9°, I = 338
- 1.469 Å, 2θ = 63.3°, I = 278
- 1.718 Å, 2θ = 53.3°, I = 233
- 2.420 Å, 2θ = 37.2°, I = 165
- 1.461 Å, 2θ = 63.7°, I = 136
- 1.404 Å, 2θ = 66.6°, I = 119
- 1.724 Å, 2θ = 53.1°, I = 118
- 4.840 Å, 2θ = 18.3°, I = 97
- 3.448 Å, 2θ = 25.8°, I = 89

Starting from a cell relaxed with PBE, the X-ray powder pattern of Dy5YTl2 was simulated for Cu Kα.

Structural model:
abc: 3.6100 10.5128 12.6370
angles: 90.00 90.00 90.00
Sites, in units of the cell vectors:
1 Dy 0.0000 0.0000 0.0000
2 Dy 0.0000 0.2727 0.3661
3 Dy 0.0000 0.2727 0.6339
4 Dy 0.0000 0.7273 0.3661
5 Dy 0.0000 0.7273 0.6339
6 Dy 0.5000 0.2273 0.1339
7 Dy 0.5000 0.2273 0.8661
8 Dy 0.5000 0.5000 0.5000
9 Dy 0.5000 0.7727 0.1339
10 Dy 0.5000 0.7727 0.8661
11 Y 0.0000 0.5000 0.0000
12 Y 0.5000 0.0000 0.5000
13 Tl 0.0000 0.0000 0.2627
14 Tl 0.0000 0.0000 0.7373
15 Tl 0.5000 0.5000 0.2373
16 Tl 0.5000 0.5000 0.7627

Principal peaks in the range 5 to 70 degrees two-theta, most intense first:
- 2.708 Å, 2θ = 33.1°, I = 1000
- 2.897 Å, 2θ = 30.9°, I = 629
- 2.741 Å, 2θ = 32.7°, I = 516
- 2.628 Å, 2θ = 34.1°, I = 431
- 1.502 Å, 2θ = 61.8°, I = 335
- 2.514 Å, 2θ = 35.7°, I = 291
- 1.897 Å, 2θ = 48.0°, I = 290
- 1.543 Å, 2θ = 59.9°, I = 257
- 2.319 Å, 2θ = 38.8°, I = 249
- 1.575 Å, 2θ = 58.6°, I = 193

Starting from a cell relaxed with PBE, the X-ray powder pattern of Dy4Y5Tl4 was simulated for Cu Kα.

Structural model:
abc: 9.0474 9.0474 9.0474
angles: 94.52 94.52 147.41
Sites, in units of the cell vectors:
1 Dy 0.0964 0.6044 0.7008
2 Dy 0.3956 0.0964 0.4920
3 Dy 0.6044 0.9036 0.5080
4 Dy 0.9036 0.3956 0.2992
5 Y 0.0000 0.0000 0.0000
6 Y 0.3124 0.3985 0.7109
7 Y 0.3985 0.6876 0.0860
8 Y 0.6015 0.3124 0.9140
9 Y 0.6876 0.6015 0.2891
10 Tl 0.1028 0.2347 0.3374
11 Tl 0.2347 0.8972 0.1319
12 Tl 0.7653 0.1028 0.8681
13 Tl 0.8972 0.7653 0.6626

Principal peaks in the range 5 to 70 degrees two-theta, most intense first:
- 2.829 Å, 2θ = 31.6°, I = 1000
- 2.539 Å, 2θ = 35.4°, I = 222
- 1.516 Å, 2θ = 61.1°, I = 153
- 2.408 Å, 2θ = 37.3°, I = 152
- 1.747 Å, 2θ = 52.4°, I = 116
- 1.383 Å, 2θ = 67.8°, I = 115
- 2.569 Å, 2θ = 34.9°, I = 112
- 3.884 Å, 2θ = 22.9°, I = 104
- 2.047 Å, 2θ = 44.3°, I = 75
- 1.593 Å, 2θ = 57.9°, I = 69

Starting from a cell relaxed with PBE, the X-ray powder pattern of Dy8YTl2 was simulated for Cu Kα.

Structural model:
abc: 8.8050 8.8050 5.5963
angles: 101.80 101.80 119.42
Sites, in units of the cell vectors:
1 Dy 0.0951 0.3223 0.6181
2 Dy 0.2173 0.7827 0.0000
3 Dy 0.3223 0.0951 0.6181
4 Dy 0.4026 0.4026 0.2029
5 Dy 0.5974 0.5974 0.7971
6 Dy 0.6777 0.9049 0.3819
7 Dy 0.7827 0.2173 0.0000
8 Dy 0.9049 0.6777 0.3819
9 Y 0.0000 0.0000 0.0000
10 Tl 0.3062 0.6938 0.5000
11 Tl 0.6938 0.3062 0.5000

Principal peaks in the range 5 to 70 degrees two-theta, most intense first:
- 2.654 Å, 2θ = 33.8°, I = 1000
- 2.881 Å, 2θ = 31.0°, I = 831
- 2.775 Å, 2θ = 32.3°, I = 641
- 2.990 Å, 2θ = 29.9°, I = 554
- 3.051 Å, 2θ = 29.3°, I = 506
- 2.739 Å, 2θ = 32.7°, I = 400
- 2.559 Å, 2θ = 35.1°, I = 353
- 1.528 Å, 2θ = 60.6°, I = 296
- 3.581 Å, 2θ = 24.9°, I = 271
- 2.693 Å, 2θ = 33.3°, I = 263

Starting from a cell relaxed with PBE, the X-ray powder pattern of DyY3Tl2 was simulated for Cu Kα.

Structural model:
abc: 5.0939 10.0047 6.8326
angles: 90.00 90.00 90.00
Sites, in units of the cell vectors:
1 Dy 0.0000 0.0427 0.0000
2 Dy 0.0000 0.9573 0.5000
3 Y 0.0000 0.3118 0.6254
4 Y 0.0000 0.6882 0.1254
5 Y 0.5000 0.1873 0.2806
6 Y 0.5000 0.4568 0.9066
7 Y 0.5000 0.5432 0.4066
8 Y 0.5000 0.8127 0.7806
9 Tl 0.0000 0.3675 0.1619
10 Tl 0.0000 0.6325 0.6619
11 Tl 0.5000 0.1328 0.7456
12 Tl 0.5000 0.8672 0.2456

Principal peaks in the range 5 to 70 degrees two-theta, most intense first:
- 2.790 Å, 2θ = 32.1°, I = 1000
- 2.730 Å, 2θ = 32.8°, I = 969
- 2.547 Å, 2θ = 35.2°, I = 616
- 2.837 Å, 2θ = 31.5°, I = 584
- 2.583 Å, 2θ = 34.7°, I = 450
- 4.036 Å, 2θ = 22.0°, I = 312
- 2.386 Å, 2θ = 37.7°, I = 234
- 3.781 Å, 2θ = 23.5°, I = 234
- 2.997 Å, 2θ = 29.8°, I = 202
- 1.503 Å, 2θ = 61.7°, I = 199